Ba3Fe2TeO5: theoretical powder diffraction line list (Cu Kα, 1.54184 Å), based on the PBE+U geometry in Alexandria.
Lines closer than 0.1° are merged.

a = 4.110 Å, b = 4.110 Å, c = 12.188 Å
α = 90.00°, β = 90.00°, γ = 90.00°
Fractional positions:
Ba 0.000 0.000 0.000
Ba 0.000 0.000 0.328
Ba 0.000 0.000 0.672
Fe 0.500 0.500 0.158
Fe 0.500 0.500 0.842
Te 0.500 0.500 0.500
O 0.000 0.500 0.183
O 0.000 0.500 0.817
O 0.500 0.000 0.183
O 0.500 0.000 0.817
O 0.500 0.500 0.000

The 10 most intense peaks (10 to 80 degrees two-theta), sorted by position:
(hkl)	2θ/deg	I_rel
1 1 0	30.77	46
1 0 3	30.95	100
1 1 3	38.07	8
2 0 0	44.07	25
0 0 6	44.61	11
2 1 3	54.82	39
1 1 6	55.17	17
2 2 0	64.09	8
2 0 6	64.51	14
3 0 3	72.82	16